(1)
Simulated powder diffractogram
Compound: Ca3As4Pd4
Radiation: λ = 1.5418 Å (Cu Kα)
Structure: a cell relaxed with PBE

Crystal structure
```
data_Ca3As4Pd4
_symmetry_space_group_name_H-M 'P 1'
_symmetry_Int_Tables_number 1
_cell_length_a 4.1568
_cell_length_b 4.3247
_cell_length_c 12.9440
_cell_angle_alpha 99.53
_cell_angle_beta 99.22
_cell_angle_gamma 90.04
loop_
_symmetry_equiv_pos_as_xyz
'x,y,z'
loop_
_atom_site_label
_atom_site_type_symbol
_atom_site_fract_x
_atom_site_fract_y
_atom_site_fract_z
Ca1 Ca 0.0000 0.0000 0.0000
Ca2 Ca 0.1482 0.6476 0.2953
Ca3 Ca 0.8518 0.3524 0.7047
As1 As 0.3077 0.8084 0.6149
As2 As 0.4472 0.4505 0.8989
As3 As 0.5528 0.5495 0.1011
As4 As 0.6923 0.1916 0.3851
Pd1 Pd 0.2504 0.2514 0.5013
Pd2 Pd 0.4044 0.9059 0.8097
Pd3 Pd 0.5956 0.0941 0.1903
Pd4 Pd 0.7496 0.7486 0.4987
```

Most intense lines, 10 to 80 degrees two-theta, sorted by position:
| d [Å] | intensity |
| --- | --- |
| 4.198 | 21 |
| 4.101 | 46 |
| 2.721 | 34 |
| 2.706 | 100 |
| 2.162 | 37 |
| 2.078 | 33 |
| 2.024 | 27 |
| 1.928 | 49 |
| 1.498 | 22 |
| 1.450 | 18 |

(2)
Simulated powder diffractogram
Compound: CaAsPd2
Radiation: λ = 1.5418 Å (Cu Kα)
Structure: a cell relaxed with PBE

Crystal structure
```
data_CaAsPd2
_symmetry_space_group_name_H-M 'P 1'
_symmetry_Int_Tables_number 1
_cell_length_a 7.5343
_cell_length_b 7.1378
_cell_length_c 5.6342
_cell_angle_alpha 90.00
_cell_angle_beta 90.00
_cell_angle_gamma 90.00
loop_
_symmetry_equiv_pos_as_xyz
'x,y,z'
loop_
_atom_site_label
_atom_site_type_symbol
_atom_site_fract_x
_atom_site_fract_y
_atom_site_fract_z
Ca1 Ca 0.0241 0.2500 0.1345
Ca2 Ca 0.4759 0.7500 0.6345
Ca3 Ca 0.5241 0.2500 0.3655
Ca4 Ca 0.9759 0.7500 0.8655
As1 As 0.1266 0.7500 0.3602
As2 As 0.3734 0.2500 0.8602
As3 As 0.6266 0.7500 0.1398
As4 As 0.8734 0.2500 0.6398
Pd1 Pd 0.1744 0.0512 0.5914
Pd2 Pd 0.1744 0.4488 0.5914
Pd3 Pd 0.3256 0.5512 0.0914
Pd4 Pd 0.3256 0.9488 0.0914
Pd5 Pd 0.6744 0.0512 0.9086
Pd6 Pd 0.6744 0.4488 0.9086
Pd7 Pd 0.8256 0.5512 0.4086
Pd8 Pd 0.8256 0.9488 0.4086
```

Most intense lines, 10 to 80 degrees two-theta, sorted by position:
| d [Å] | intensity |
| --- | --- |
| 4.512 | 82 |
| 4.422 | 41 |
| 2.639 | 42 |
| 2.591 | 48 |
| 2.475 | 65 |
| 2.354 | 79 |
| 2.294 | 100 |
| 2.122 | 97 |
| 2.105 | 79 |
| 2.012 | 51 |

(3)
Simulated powder diffractogram
Compound: Ca3As2Pd2
Radiation: λ = 1.5418 Å (Cu Kα)
Structure: a cell relaxed with PBE

Crystal structure
```
data_Ca3As2Pd2
_symmetry_space_group_name_H-M 'P 1'
_symmetry_Int_Tables_number 1
_cell_length_a 5.6861
_cell_length_b 8.0370
_cell_length_c 13.3669
_cell_angle_alpha 90.00
_cell_angle_beta 90.00
_cell_angle_gamma 90.00
loop_
_symmetry_equiv_pos_as_xyz
'x,y,z'
loop_
_atom_site_label
_atom_site_type_symbol
_atom_site_fract_x
_atom_site_fract_y
_atom_site_fract_z
Ca1 Ca 0.1291 0.0975 0.1034
Ca2 Ca 0.1291 0.0975 0.3966
Ca3 Ca 0.1291 0.4025 0.6034
Ca4 Ca 0.1291 0.4025 0.8966
Ca5 Ca 0.3545 0.7300 0.2500
Ca6 Ca 0.3545 0.7700 0.7500
Ca7 Ca 0.6455 0.2300 0.2500
Ca8 Ca 0.6455 0.2700 0.7500
Ca9 Ca 0.8709 0.5975 0.1034
Ca10 Ca 0.8709 0.5975 0.3966
Ca11 Ca 0.8709 0.9025 0.6034
Ca12 Ca 0.8709 0.9025 0.8966
As1 As 0.1487 0.1177 0.7500
As2 As 0.1487 0.3823 0.2500
As3 As 0.3007 0.7500 0.0000
As4 As 0.3007 0.7500 0.5000
As5 As 0.6993 0.2500 0.0000
As6 As 0.6993 0.2500 0.5000
As7 As 0.8513 0.6177 0.7500
As8 As 0.8513 0.8823 0.2500
Pd1 Pd 0.3906 0.0589 0.5897
Pd2 Pd 0.3906 0.0589 0.9103
Pd3 Pd 0.3906 0.4411 0.0897
Pd4 Pd 0.3906 0.4411 0.4103
Pd5 Pd 0.6094 0.5589 0.5897
Pd6 Pd 0.6094 0.5589 0.9103
Pd7 Pd 0.6094 0.9411 0.0897
Pd8 Pd 0.6094 0.9411 0.4103
```

Most intense lines, 10 to 80 degrees two-theta, sorted by position:
| d [Å] | intensity |
| --- | --- |
| 5.686 | 34 |
| 4.385 | 45 |
| 4.331 | 28 |
| 2.712 | 27 |
| 2.642 | 72 |
| 2.569 | 40 |
| 2.423 | 69 |
| 2.297 | 100 |
| 2.227 | 30 |
| 1.949 | 21 |

(4)
Simulated powder diffractogram
Compound: CaAsPd3
Radiation: λ = 1.5418 Å (Cu Kα)
Structure: a cell relaxed with PBE

Crystal structure
```
data_CaAsPd3
_symmetry_space_group_name_H-M 'P 1'
_symmetry_Int_Tables_number 1
_cell_length_a 6.4789
_cell_length_b 6.4789
_cell_length_c 6.4789
_cell_angle_alpha 129.58
_cell_angle_beta 103.54
_cell_angle_gamma 97.39
loop_
_symmetry_equiv_pos_as_xyz
'x,y,z'
loop_
_atom_site_label
_atom_site_type_symbol
_atom_site_fract_x
_atom_site_fract_y
_atom_site_fract_z
Ca1 Ca 0.2515 0.0015 0.2500
Ca2 Ca 0.7485 0.9985 0.7500
As1 As 0.0000 0.5000 0.5000
As2 As 0.5000 0.5000 0.0000
Pd1 Pd 0.0857 0.3357 0.7500
Pd2 Pd 0.2983 0.0000 0.7983
Pd3 Pd 0.2983 0.5000 0.2983
Pd4 Pd 0.7017 0.0000 0.2017
Pd5 Pd 0.7017 0.5000 0.7017
Pd6 Pd 0.9143 0.6643 0.2500
```

Most intense lines, 10 to 80 degrees two-theta, sorted by position:
| d [Å] | intensity |
| --- | --- |
| 4.637 | 41 |
| 4.276 | 46 |
| 3.115 | 35 |
| 2.551 | 76 |
| 2.496 | 51 |
| 2.319 | 67 |
| 2.273 | 49 |
| 2.141 | 92 |
| 2.007 | 100 |
| 1.887 | 33 |

(5)
Simulated powder diffractogram
Compound: CaAs4Pd12
Radiation: λ = 1.5418 Å (Cu Kα)
Structure: a cell relaxed with PBE

Crystal structure
```
data_CaAs4Pd12
_symmetry_space_group_name_H-M 'P 1'
_symmetry_Int_Tables_number 1
_cell_length_a 7.4251
_cell_length_b 7.4251
_cell_length_c 7.4251
_cell_angle_alpha 109.47
_cell_angle_beta 109.47
_cell_angle_gamma 109.47
loop_
_symmetry_equiv_pos_as_xyz
'x,y,z'
loop_
_atom_site_label
_atom_site_type_symbol
_atom_site_fract_x
_atom_site_fract_y
_atom_site_fract_z
Ca1 Ca 0.0000 0.0000 0.0000
As1 As 0.0000 0.0000 0.5000
As2 As 0.0000 0.5000 0.0000
As3 As 0.5000 0.0000 0.0000
As4 As 0.5000 0.5000 0.5000
Pd1 Pd 0.1648 0.3429 0.5076
Pd2 Pd 0.1648 0.6571 0.8219
Pd3 Pd 0.1781 0.8352 0.3429
Pd4 Pd 0.3429 0.1781 0.8352
Pd5 Pd 0.3429 0.5076 0.1648
Pd6 Pd 0.4924 0.8352 0.6571
Pd7 Pd 0.5076 0.1648 0.3429
Pd8 Pd 0.6571 0.4924 0.8352
Pd9 Pd 0.6571 0.8219 0.1648
Pd10 Pd 0.8219 0.1648 0.6571
Pd11 Pd 0.8352 0.3429 0.1781
Pd12 Pd 0.8352 0.6571 0.4924
```

Most intense lines, 10 to 80 degrees two-theta, sorted by position:
| d [Å] | intensity |
| --- | --- |
| 4.287 | 7 |
| 2.711 | 100 |
| 2.291 | 35 |
| 2.021 | 7 |
| 1.917 | 26 |
| 1.828 | 10 |
| 1.750 | 23 |
| 1.681 | 22 |
| 1.470 | 12 |
| 1.264 | 17 |

(6)
Simulated powder diffractogram
Compound: CaAs3Pd10
Radiation: λ = 1.5418 Å (Cu Kα)
Structure: a cell relaxed with PBE

Crystal structure
```
data_CaAs3Pd10
_symmetry_space_group_name_H-M 'P 1'
_symmetry_Int_Tables_number 1
_cell_length_a 8.8416
_cell_length_b 8.8416
_cell_length_c 8.8416
_cell_angle_alpha 60.00
_cell_angle_beta 60.00
_cell_angle_gamma 60.00
loop_
_symmetry_equiv_pos_as_xyz
'x,y,z'
loop_
_atom_site_label
_atom_site_type_symbol
_atom_site_fract_x
_atom_site_fract_y
_atom_site_fract_z
Ca1 Ca 0.2500 0.2500 0.2500
Ca2 Ca 0.7500 0.7500 0.7500
As1 As 0.2386 0.2386 0.7614
As2 As 0.2386 0.7614 0.2386
As3 As 0.2386 0.7614 0.7614
As4 As 0.7614 0.2386 0.2386
As5 As 0.7614 0.2386 0.7614
As6 As 0.7614 0.7614 0.2386
Pd1 Pd 0.1155 0.1155 0.1155
Pd2 Pd 0.1155 0.1155 0.6536
Pd3 Pd 0.1155 0.6536 0.1155
Pd4 Pd 0.1515 0.5000 0.5000
Pd5 Pd 0.1515 0.5000 0.8485
Pd6 Pd 0.1515 0.8485 0.5000
Pd7 Pd 0.3464 0.8845 0.8845
Pd8 Pd 0.5000 0.1515 0.5000
Pd9 Pd 0.5000 0.1515 0.8485
Pd10 Pd 0.5000 0.5000 0.1515
Pd11 Pd 0.5000 0.5000 0.8485
Pd12 Pd 0.5000 0.8485 0.1515
Pd13 Pd 0.5000 0.8485 0.5000
Pd14 Pd 0.6536 0.1155 0.1155
Pd15 Pd 0.8485 0.1515 0.5000
Pd16 Pd 0.8485 0.5000 0.1515
Pd17 Pd 0.8485 0.5000 0.5000
Pd18 Pd 0.8845 0.3464 0.8845
Pd19 Pd 0.8845 0.8845 0.3464
Pd20 Pd 0.8845 0.8845 0.8845
```

Most intense lines, 10 to 80 degrees two-theta, sorted by position:
| d [Å] | intensity |
| --- | --- |
| 4.421 | 32 |
| 2.796 | 14 |
| 2.406 | 100 |
| 2.210 | 37 |
| 2.114 | 53 |
| 2.084 | 21 |
| 1.885 | 28 |
| 1.474 | 17 |
| 1.372 | 14 |
| 1.276 | 22 |

(7)
Simulated powder diffractogram
Compound: CaAsPdRh
Radiation: λ = 1.5418 Å (Cu Kα)
Structure: a cell relaxed with PBE

Crystal structure
```
data_CaAsPdRh
_symmetry_space_group_name_H-M 'P 1'
_symmetry_Int_Tables_number 1
_cell_length_a 4.2736
_cell_length_b 5.1405
_cell_length_c 5.1405
_cell_angle_alpha 45.84
_cell_angle_beta 90.00
_cell_angle_gamma 90.00
loop_
_symmetry_equiv_pos_as_xyz
'x,y,z'
loop_
_atom_site_label
_atom_site_type_symbol
_atom_site_fract_x
_atom_site_fract_y
_atom_site_fract_z
Ca1 Ca 0.0000 0.0000 0.0000
As1 As 0.5000 0.6093 0.6093
Pd1 Pd 0.5000 0.2718 0.2718
Rh1 Rh 0.0000 0.7193 0.7193
```

Most intense lines, 10 to 80 degrees two-theta, sorted by position:
| d [Å] | intensity |
| --- | --- |
| 4.735 | 76 |
| 2.792 | 100 |
| 2.479 | 39 |
| 2.144 | 86 |
| 2.137 | 36 |
| 2.071 | 20 |
| 2.002 | 29 |
| 1.618 | 20 |
| 1.589 | 15 |
| 1.461 | 21 |

(8)
Simulated powder diffractogram
Compound: CaScAs2Pd5
Radiation: λ = 1.5418 Å (Cu Kα)
Structure: a cell relaxed with PBE

Crystal structure
```
data_CaScAs2Pd5
_symmetry_space_group_name_H-M 'P 1'
_symmetry_Int_Tables_number 1
_cell_length_a 4.2434
_cell_length_b 4.2434
_cell_length_c 8.9367
_cell_angle_alpha 90.00
_cell_angle_beta 90.00
_cell_angle_gamma 90.00
loop_
_symmetry_equiv_pos_as_xyz
'x,y,z'
loop_
_atom_site_label
_atom_site_type_symbol
_atom_site_fract_x
_atom_site_fract_y
_atom_site_fract_z
Ca1 Ca 0.0000 0.0000 0.0000
Sc1 Sc 0.0000 0.0000 0.5000
As1 As 0.5000 0.5000 0.3655
As2 As 0.5000 0.5000 0.6345
Pd1 Pd 0.0000 0.5000 0.2327
Pd2 Pd 0.0000 0.5000 0.7673
Pd3 Pd 0.5000 0.0000 0.2327
Pd4 Pd 0.5000 0.0000 0.7673
Pd5 Pd 0.5000 0.5000 0.0000
```

Most intense lines, 10 to 80 degrees two-theta, sorted by position:
| d [Å] | intensity |
| --- | --- |
| 4.468 | 19 |
| 4.243 | 17 |
| 2.491 | 100 |
| 2.438 | 15 |
| 2.122 | 53 |
| 2.114 | 24 |
| 1.792 | 13 |
| 1.500 | 17 |
| 1.334 | 13 |
| 1.285 | 23 |